Theoretical powder diffraction line list of FeOF for a wavelength of 1.5418 Å, from a cell relaxed with GGA+U.
No peak broadening, texture or thermal motion is included.

Structure:
Cell lengths 4.7780, 4.7780, 12.2174 Å; angles 90.00, 90.00, 89.95 degrees
Fractional positions:
Fe: 0.0000 0.0000 0.0000
Fe: 0.0088 0.9902 0.7490
Fe: 0.0098 0.9912 0.2510
Fe: 0.4235 0.5013 0.8748
Fe: 0.4433 0.4844 0.3750
Fe: 0.4987 0.5765 0.1252
Fe: 0.5156 0.5567 0.6250
Fe: 0.9421 0.0579 0.5000
O: 0.1562 0.2033 0.3754
O: 0.1607 0.1972 0.8743
O: 0.2890 0.7110 0.0000
O: 0.2934 0.7032 0.7469
O: 0.2968 0.7066 0.2531
O: 0.6576 0.3424 0.5000
O: 0.7967 0.8438 0.6246
O: 0.8028 0.8393 0.1257
F: 0.1799 0.2265 0.6247
F: 0.1926 0.2191 0.1254
F: 0.2753 0.7247 0.5000
F: 0.6764 0.3236 0.0000
F: 0.6793 0.3208 0.2483
F: 0.6792 0.3207 0.7517
F: 0.7735 0.8201 0.3753
F: 0.7809 0.8074 0.8746

Main lines, in order of rising 2θ (10° ≤ 2θ ≤ 90°):
d = 3.379 Å, I 100.0
d = 2.573 Å, I 50.8
d = 2.389 Å, I 7.2
d = 2.266 Å, I 19.6
d = 2.017 Å, I 8.4
d = 1.751 Å, I 53.7
d = 1.689 Å, I 14.4
d = 1.527 Å, I 9.1
d = 1.412 Å, I 17.8
d = 1.392 Å, I 11.4